1.
For CdCuOs2S, DFT lattice parameters and positions (GGA-PBE) gives the theoretical X-ray powder pattern in this record (copper Kα).
Kinematic intensities with the Lorentz-polarization factor, no thermal factor.

Structural model:
```
CdCuOs2S
1.0
4.991 0.000 0.000
0.000 4.991 0.000
0.000 0.000 4.621
Cd Cu Os S
1 1 2 1
Cartesian
0.000 0.000 0.000 Cd
0.000 0.000 2.310 Cu
0.000 2.496 0.000 Os
2.496 0.000 0.000 Os
2.496 2.496 2.310 S
```

Principal peaks in the range 10 to 80 degrees two-theta, in order of rising 2θ:
two_theta  intensity
17.77  36
19.21  97
31.91  100
35.99  97
38.98  39
41.11  58
51.81  34
54.09  60
62.15  30
66.70  31

2.
For PaCdCu5, DFT lattice parameters and positions (GGA-PBE) gives the theoretical X-ray powder pattern in this record (copper Kα).
Kinematic intensities with the Lorentz-polarization factor, no thermal factor.

Structural model:
```
PaCdCu5
1.0
8.215 0.000 0.000
0.000 5.032 0.000
0.000 0.000 10.483
Pa Cd Cu
4 4 20
Cartesian
2.044 1.258 0.646 Pa
2.064 3.774 5.887 Pa
6.151 1.258 4.596 Pa
6.171 3.774 9.837 Pa
1.116 3.774 9.048 Cd
2.991 1.258 3.806 Cd
5.224 3.774 6.677 Cd
7.099 1.258 1.435 Cd
0.480 3.774 1.110 Cu
0.556 0.012 3.286 Cu
0.556 2.504 3.286 Cu
0.718 1.258 5.416 Cu
1.508 1.258 7.810 Cu
2.599 3.774 2.569 Cu
3.389 3.774 0.175 Cu
3.551 2.528 8.528 Cu
3.551 5.020 8.528 Cu
3.627 1.258 6.352 Cu
4.588 3.774 4.131 Cu
4.664 0.012 1.955 Cu
4.664 2.504 1.955 Cu
4.826 1.258 10.308 Cu
5.616 1.258 7.914 Cu
6.706 3.774 2.673 Cu
7.496 3.774 5.067 Cu
7.659 2.528 7.197 Cu
7.659 5.020 7.197 Cu
7.734 1.258 9.373 Cu
```

Principal peaks in the range 10 to 80 degrees two-theta, in order of rising 2θ:
two_theta  intensity
31.16  39
35.69  36
35.97  45
38.26  72
38.40  100
42.12  24
44.80  29
45.79  28
65.87  33
66.09  26

3.
For PaCd4Cu2, DFT lattice parameters and positions (GGA-PBE) gives the theoretical X-ray powder pattern in this record (copper Kα).
Kinematic intensities with the Lorentz-polarization factor, no thermal factor.

Structural model:
```
PaCd4Cu2
1.0
4.710 0.000 0.000
0.000 18.236 0.000
0.000 0.000 3.239
Pa Cd Cu
2 8 4
Cartesian
0.000 0.000 0.000 Pa
2.355 9.118 0.000 Pa
0.000 2.816 1.619 Cd
0.000 5.587 0.000 Cd
0.000 12.649 0.000 Cd
0.000 15.420 1.619 Cd
2.355 3.531 0.000 Cd
2.355 6.302 1.619 Cd
2.355 11.934 1.619 Cd
2.355 14.704 0.000 Cd
0.000 7.892 1.619 Cu
0.000 10.344 1.619 Cu
2.355 1.226 1.619 Cu
2.355 17.010 1.619 Cu
```

Principal peaks in the range 10 to 80 degrees two-theta, in order of rising 2θ:
two_theta  intensity
29.39  18
33.95  31
36.78  100
38.22  32
39.53  43
52.03  15
58.04  14
68.14  16
71.45  14
71.64  15

4.
For Cd2CuPb2, DFT lattice parameters and positions (GGA-PBE) gives the theoretical X-ray powder pattern in this record (copper Kα).
Kinematic intensities with the Lorentz-polarization factor, no thermal factor.

Structural model:
```
Cd2CuPb2
1.0
7.309 0.000 0.000
0.000 7.309 0.000
0.000 0.000 4.984
Cd Cu Pb
4 2 4
Cartesian
1.090 2.564 0.000 Cd
2.564 6.219 0.000 Cd
4.745 1.090 0.000 Cd
6.219 4.745 0.000 Cd
0.000 0.000 2.492 Cu
3.654 3.654 2.492 Cu
1.202 4.857 2.492 Pb
2.452 1.202 2.492 Pb
4.857 6.107 2.492 Pb
6.107 2.452 2.492 Pb
```

Principal peaks in the range 10 to 80 degrees two-theta, in order of rising 2θ:
two_theta  intensity
17.80  14
24.36  8
32.77  100
36.04  21
38.97  22
54.12  17
54.98  16
62.74  15
65.92  9
72.13  13

5.
For Cd9Cu2Pb, DFT lattice parameters and positions (GGA-PBE) gives the theoretical X-ray powder pattern in this record (copper Kα).
Kinematic intensities with the Lorentz-polarization factor, no thermal factor.

Structural model:
```
Cd9Cu2Pb
1.0
-5.932 5.932 3.728
5.932 -5.932 3.728
5.932 5.932 -3.728
Cd Cu Pb
18 4 2
Cartesian
3.577 1.531 -0.486 Cd
8.287 1.531 -0.486 Cd
4.497 6.543 -2.350 Cd
1.435 0.611 1.378 Cd
3.577 4.401 -0.486 Cd
2.355 -1.531 3.242 Cd
4.497 0.611 2.350 Cd
7.367 0.611 2.350 Cd
5.932 2.966 0.932 Cd
0.000 2.966 2.796 Cd
-1.435 5.321 1.378 Cd
1.435 5.321 1.378 Cd
3.577 7.463 0.486 Cd
2.355 1.531 4.214 Cd
4.497 5.321 2.350 Cd
1.435 -0.611 6.078 Cd
-2.355 4.401 4.214 Cd
2.355 4.401 4.214 Cd
5.932 0.000 0.000 Cu
-2.966 2.966 1.864 Cu
0.000 0.000 3.728 Cu
2.966 2.966 1.864 Cu
5.932 -2.966 2.796 Pb
0.000 8.898 0.932 Pb
```

Principal peaks in the range 10 to 80 degrees two-theta, in order of rising 2θ:
two_theta  intensity
25.50  15
29.68  25
33.79  69
33.90  100
36.95  28
38.80  16
39.87  56
41.79  23
60.51  29
71.07  15

6.
For CdCuPd5, DFT lattice parameters and positions (GGA-PBE) gives the theoretical X-ray powder pattern in this record (copper Kα).
Kinematic intensities with the Lorentz-polarization factor, no thermal factor.

Structural model:
```
CdCuPd5
1.0
5.151 0.000 0.000
0.000 6.909 0.000
0.000 0.000 7.280
Cd Cu Pd
2 2 10
Cartesian
0.000 0.000 0.000 Cd
2.576 3.455 3.640 Cd
0.000 3.455 6.250 Cu
2.576 0.000 2.609 Cu
0.000 0.000 2.559 Pd
0.000 2.171 3.950 Pd
0.000 4.738 3.950 Pd
1.251 3.455 1.327 Pd
1.324 0.000 4.967 Pd
2.576 1.283 0.310 Pd
2.576 3.455 6.199 Pd
2.576 5.626 0.310 Pd
3.827 0.000 4.967 Pd
3.900 3.455 1.327 Pd
```

Principal peaks in the range 10 to 80 degrees two-theta, in order of rising 2θ:
two_theta  intensity
25.79  31
33.57  31
39.34  100
41.11  15
43.02  39
49.17  12
50.10  12
50.84  25
54.95  18
79.87  17

7.
For Cd2CuPd9, DFT lattice parameters and positions (GGA-PBE) gives the theoretical X-ray powder pattern in this record (copper Kα).
Kinematic intensities with the Lorentz-polarization factor, no thermal factor.

Structural model:
```
Cd2CuPd9
1.0
3.996 0.000 0.000
0.000 3.996 0.000
0.000 0.000 11.949
Cd Cu Pd
2 1 9
Cartesian
0.000 0.000 2.046 Cd
0.000 0.000 9.903 Cd
0.000 0.000 5.975 Cu
0.000 1.998 0.000 Pd
0.000 1.998 4.108 Pd
0.000 1.998 7.842 Pd
1.998 0.000 0.000 Pd
1.998 0.000 4.108 Pd
1.998 0.000 7.842 Pd
1.998 1.998 2.063 Pd
1.998 1.998 5.975 Pd
1.998 1.998 9.886 Pd
```

Principal peaks in the range 10 to 80 degrees two-theta, in order of rising 2θ:
two_theta  intensity
35.13  1
37.63  1
39.09  100
45.39  33
45.55  15
66.14  10
66.26  19
71.44  1
79.59  24
79.82  10

8.
For Cd2Cu2Pd3, DFT lattice parameters and positions (GGA-PBE) gives the theoretical X-ray powder pattern in this record (copper Kα).
Kinematic intensities with the Lorentz-polarization factor, no thermal factor.

Structural model:
```
Cd2Cu2Pd3
1.0
3.983 0.000 0.000
0.000 19.096 0.000
0.000 0.000 2.915
Cd Cu Pd
4 4 6
Cartesian
0.000 1.495 0.000 Cd
0.000 17.601 0.000 Cd
1.992 8.053 0.000 Cd
1.992 11.043 0.000 Cd
0.000 4.133 0.000 Cu
0.000 14.963 0.000 Cu
1.992 5.415 0.000 Cu
1.992 13.681 0.000 Cu
0.000 6.502 1.457 Pd
0.000 9.548 1.457 Pd
0.000 12.594 1.457 Pd
1.992 0.000 1.457 Pd
1.992 3.046 1.457 Pd
1.992 16.050 1.457 Pd
```

Principal peaks in the range 10 to 80 degrees two-theta, in order of rising 2θ:
two_theta  intensity
32.48  20
38.56  100
40.06  85
42.03  64
45.55  35
63.70  36
63.87  12
76.45  23
78.12  22
79.48  11